Diffraction record for Te4PdCl. The PXRD pattern is theoretical, not measured: it uses a DFT-relaxed cell (PBE, Alexandria) and a wavelength of 1.5418 Å.
Neutral-atom scattering factors, no anomalous dispersion.

Structure:
```
data_Te4PdCl
_chemical_formula_sum 'Te8 Pd2 Cl2'
_space_group_name_H-M_alt 'P 1'
_space_group_IT_number 1
_space_group_name_Hall 'P 1'
_cell_length_a 9.848
_cell_length_b 9.848
_cell_length_c 5.701
_cell_angle_alpha 94.10
_cell_angle_beta 94.10
_cell_angle_gamma 41.44
loop_
_atom_site_label
_atom_site_fract_x
_atom_site_fract_y
_atom_site_fract_z
Te1 0.134 0.629 0.593
Te2 0.209 0.209 0.725
Te3 0.237 0.763 0.000
Te4 0.371 0.866 0.407
Te5 0.629 0.134 0.593
Te6 0.763 0.237 0.000
Te7 0.791 0.791 0.275
Te8 0.866 0.371 0.407
Pd1 0.057 0.057 0.690
Pd2 0.943 0.943 0.310
Cl1 0.300 0.300 0.100
Cl2 0.700 0.700 0.900
```

Top 8 peaks for 15° ≤ 2θ ≤ 90°, by angle:
- 2θ = 20.45°, I = 51
- 2θ = 23.96°, I = 78
- 2θ = 31.27°, I = 100
- 2θ = 34.31°, I = 72
- 2θ = 35.32°, I = 45
- 2θ = 36.66°, I = 53
- 2θ = 40.99°, I = 52
- 2θ = 47.42°, I = 53

***

Diffraction record for Te4PdCl. The PXRD pattern is theoretical, not measured: it uses a DFT-relaxed cell (PBE, Alexandria) and a wavelength of 1.5418 Å.
Neutral-atom scattering factors, no anomalous dispersion.

Structure:
```
data_Te4PdCl
_chemical_formula_sum 'Te8 Pd2 Cl2'
_space_group_name_H-M_alt 'P 1'
_space_group_IT_number 1
_space_group_name_Hall 'P 1'
_cell_length_a 7.772
_cell_length_b 7.779
_cell_length_c 8.110
_cell_angle_alpha 61.92
_cell_angle_beta 61.89
_cell_angle_gamma 68.09
loop_
_atom_site_label
_atom_site_fract_x
_atom_site_fract_y
_atom_site_fract_z
Te1 0.125 0.361 0.113
Te2 0.188 0.777 0.504
Te3 0.224 0.811 0.996
Te4 0.361 0.125 0.614
Te5 0.639 0.875 0.386
Te6 0.776 0.189 0.004
Te7 0.812 0.223 0.496
Te8 0.875 0.639 0.887
Pd1 0.011 0.989 0.750
Pd2 0.989 0.011 0.250
Cl1 0.496 0.504 0.251
Cl2 0.504 0.496 0.749
```

Top 8 peaks for 15° ≤ 2θ ≤ 90°, by angle:
- 2θ = 23.11°, I = 34
- 2θ = 24.41°, I = 23
- 2θ = 30.17°, I = 53
- 2θ = 33.83°, I = 100
- 2θ = 35.50°, I = 29
- 2θ = 39.51°, I = 31
- 2θ = 45.03°, I = 33
- 2θ = 46.89°, I = 23

***

Diffraction record for Tl3PdCl6. The PXRD pattern is theoretical, not measured: it uses a DFT-relaxed cell (PBE, Alexandria) and a wavelength of 1.5418 Å.
Neutral-atom scattering factors, no anomalous dispersion.

Structure:
```
data_Tl3PdCl6
_chemical_formula_sum 'Tl6 Pd2 Cl12'
_space_group_name_H-M_alt 'P 1'
_space_group_IT_number 1
_space_group_name_Hall 'P 1'
_cell_length_a 8.667
_cell_length_b 8.667
_cell_length_c 8.667
_cell_angle_alpha 92.98
_cell_angle_beta 92.98
_cell_angle_gamma 92.98
loop_
_atom_site_label
_atom_site_fract_x
_atom_site_fract_y
_atom_site_fract_z
Tl1 0.070 0.756 0.569
Tl2 0.244 0.431 0.930
Tl3 0.431 0.930 0.244
Tl4 0.569 0.070 0.756
Tl5 0.756 0.569 0.070
Tl6 0.930 0.244 0.431
Pd1 0.000 0.000 0.000
Pd2 0.500 0.500 0.500
Cl1 0.048 0.729 0.924
Cl2 0.076 0.952 0.271
Cl3 0.233 0.422 0.550
Cl4 0.271 0.076 0.952
Cl5 0.422 0.550 0.233
Cl6 0.450 0.767 0.578
Cl7 0.550 0.233 0.422
Cl8 0.578 0.450 0.767
Cl9 0.729 0.924 0.048
Cl10 0.767 0.578 0.450
Cl11 0.924 0.048 0.729
Cl12 0.952 0.271 0.076
```

Top 8 peaks for 15° ≤ 2θ ≤ 90°, by angle:
- 2θ = 18.73°, I = 37
- 2θ = 22.49°, I = 100
- 2θ = 23.52°, I = 44
- 2θ = 25.01°, I = 48
- 2θ = 32.21°, I = 35
- 2θ = 33.32°, I = 43
- 2θ = 37.87°, I = 27
- 2θ = 40.71°, I = 21

***

Diffraction record for TmPdCl. The PXRD pattern is theoretical, not measured: it uses a DFT-relaxed cell (PBE, Alexandria) and a wavelength of 1.5418 Å.
Neutral-atom scattering factors, no anomalous dispersion.

Structure:
```
data_TmPdCl
_chemical_formula_sum 'Tm4 Pd4 Cl4'
_space_group_name_H-M_alt 'P 1'
_space_group_IT_number 1
_space_group_name_Hall 'P 1'
_cell_length_a 10.882
_cell_length_b 10.882
_cell_length_c 7.563
_cell_angle_alpha 93.86
_cell_angle_beta 93.86
_cell_angle_gamma 20.76
loop_
_atom_site_label
_atom_site_fract_x
_atom_site_fract_y
_atom_site_fract_z
Tm1 0.153 0.153 0.100
Tm2 0.158 0.158 0.614
Tm3 0.842 0.842 0.386
Tm4 0.847 0.847 0.900
Pd1 0.250 0.250 0.374
Pd2 0.256 0.256 0.877
Pd3 0.744 0.744 0.123
Pd4 0.750 0.750 0.626
Cl1 0.071 0.071 0.345
Cl2 0.411 0.411 0.151
Cl3 0.589 0.589 0.849
Cl4 0.929 0.929 0.655
```

Top 8 peaks for 15° ≤ 2θ ≤ 90°, by angle:
- 2θ = 23.06°, I = 44
- 2θ = 25.57°, I = 43
- 2θ = 25.94°, I = 86
- 2θ = 28.01°, I = 47
- 2θ = 35.92°, I = 62
- 2θ = 38.36°, I = 100
- 2θ = 40.19°, I = 93
- 2θ = 43.48°, I = 44

***

Diffraction record for Pm2Cl3. The PXRD pattern is theoretical, not measured: it uses a DFT-relaxed cell (PBE, Alexandria) and a wavelength of 1.5418 Å.
Neutral-atom scattering factors, no anomalous dispersion.

Structure:
```
data_Pm2Cl3
_chemical_formula_sum 'Pm4 Cl6'
_space_group_name_H-M_alt 'P 1'
_space_group_IT_number 1
_space_group_name_Hall 'P 1'
_cell_length_a 8.165
_cell_length_b 8.165
_cell_length_c 10.570
_cell_angle_alpha 117.64
_cell_angle_beta 117.64
_cell_angle_gamma 28.48
loop_
_atom_site_label
_atom_site_fract_x
_atom_site_fract_y
_atom_site_fract_z
Pm1 0.090 0.090 0.449
Pm2 0.360 0.360 0.207
Pm3 0.640 0.640 0.793
Pm4 0.910 0.910 0.551
Cl1 0.159 0.159 0.006
Cl2 0.272 0.272 0.382
Cl3 0.456 0.456 0.762
Cl4 0.544 0.544 0.238
Cl5 0.728 0.728 0.618
Cl6 0.841 0.841 0.994
```

Top 8 peaks for 15° ≤ 2θ ≤ 90°, by angle:
- 2θ = 25.64°, I = 30
- 2θ = 26.16°, I = 100
- 2θ = 28.04°, I = 50
- 2θ = 32.08°, I = 52
- 2θ = 34.72°, I = 31
- 2θ = 35.16°, I = 35
- 2θ = 36.34°, I = 42
- 2θ = 44.39°, I = 31

***

Diffraction record for Pm4Pr2Tl3Cl2. The PXRD pattern is theoretical, not measured: it uses a DFT-relaxed cell (PBE, Alexandria) and a wavelength of 1.5418 Å.
Neutral-atom scattering factors, no anomalous dispersion.

Structure:
```
data_Pm4Pr2Tl3Cl2
_chemical_formula_sum 'Pm4 Pr2 Tl3 Cl2'
_space_group_name_H-M_alt 'P 1'
_space_group_IT_number 1
_space_group_name_Hall 'P 1'
_cell_length_a 12.423
_cell_length_b 12.423
_cell_length_c 12.423
_cell_angle_alpha 154.89
_cell_angle_beta 154.89
_cell_angle_gamma 35.81
loop_
_atom_site_label
_atom_site_fract_x
_atom_site_fract_y
_atom_site_fract_z
Pm1 0.086 0.586 0.500
Pm2 0.414 0.914 0.500
Pm3 0.586 0.086 0.500
Pm4 0.914 0.414 0.500
Pr1 0.202 0.202 0.000
Pr2 0.798 0.798 0.000
Tl1 0.338 0.338 0.000
Tl2 0.500 0.500 0.000
Tl3 0.662 0.662 0.000
Cl1 0.074 0.074 0.000
Cl2 0.926 0.926 0.000
```

Top 8 peaks for 15° ≤ 2θ ≤ 90°, by angle:
- 2θ = 16.84°, I = 23
- 2θ = 24.49°, I = 31
- 2θ = 31.23°, I = 49
- 2θ = 32.65°, I = 100
- 2θ = 33.17°, I = 83
- 2θ = 46.21°, I = 33
- 2θ = 47.62°, I = 30
- 2θ = 58.94°, I = 38

***

Diffraction record for PmPuTe2Cl. The PXRD pattern is theoretical, not measured: it uses a DFT-relaxed cell (PBE, Alexandria) and a wavelength of 1.5418 Å.
Neutral-atom scattering factors, no anomalous dispersion.

Structure:
```
data_PmPuTe2Cl
_chemical_formula_sum 'Pm2 Pu2 Te4 Cl2'
_space_group_name_H-M_alt 'P 1'
_space_group_IT_number 1
_space_group_name_Hall 'P 1'
_cell_length_a 4.430
_cell_length_b 4.430
_cell_length_c 15.263
_cell_angle_alpha 90.00
_cell_angle_beta 90.00
_cell_angle_gamma 90.00
loop_
_atom_site_label
_atom_site_fract_x
_atom_site_fract_y
_atom_site_fract_z
Pm1 0.250 0.250 0.096
Pm2 0.750 0.750 0.904
Pu1 0.250 0.250 0.627
Pu2 0.750 0.750 0.373
Te1 0.250 0.250 0.301
Te2 0.250 0.250 0.884
Te3 0.750 0.750 0.116
Te4 0.750 0.750 0.699
Cl1 0.250 0.750 0.500
Cl2 0.750 0.250 0.500
```

Top 8 peaks for 15° ≤ 2θ ≤ 90°, by angle:
- 2θ = 23.27°, I = 63
- 2θ = 26.68°, I = 24
- 2θ = 28.49°, I = 100
- 2θ = 35.72°, I = 19
- 2θ = 37.13°, I = 61
- 2θ = 40.74°, I = 48
- 2θ = 40.91°, I = 19
- 2θ = 47.45°, I = 31

***

Diffraction record for PmPuTlCl6. The PXRD pattern is theoretical, not measured: it uses a DFT-relaxed cell (PBE, Alexandria) and a wavelength of 1.5418 Å.
Neutral-atom scattering factors, no anomalous dispersion.

Structure:
```
data_PmPuTlCl6
_chemical_formula_sum 'Pm2 Pu2 Tl2 Cl12'
_space_group_name_H-M_alt 'P 1'
_space_group_IT_number 1
_space_group_name_Hall 'P 1'
_cell_length_a 7.262
_cell_length_b 7.262
_cell_length_c 13.944
_cell_angle_alpha 90.00
_cell_angle_beta 90.00
_cell_angle_gamma 120.00
loop_
_atom_site_label
_atom_site_fract_x
_atom_site_fract_y
_atom_site_fract_z
Pm1 0.333 0.667 0.250
Pm2 0.667 0.333 0.750
Pu1 0.333 0.667 0.750
Pu2 0.667 0.333 0.250
Tl1 0.000 0.000 0.000
Tl2 0.000 0.000 0.500
Cl1 0.008 0.371 0.138
Cl2 0.008 0.637 0.362
Cl3 0.363 0.371 0.362
Cl4 0.363 0.992 0.138
Cl5 0.371 0.008 0.638
Cl6 0.371 0.363 0.862
Cl7 0.629 0.637 0.138
Cl8 0.629 0.992 0.362
Cl9 0.637 0.008 0.862
Cl10 0.637 0.629 0.638
Cl11 0.992 0.363 0.638
Cl12 0.992 0.629 0.862
```

Top 8 peaks for 15° ≤ 2θ ≤ 90°, by angle:
- 2θ = 19.00°, I = 100
- 2θ = 24.52°, I = 39
- 2θ = 27.70°, I = 16
- 2θ = 31.20°, I = 28
- 2θ = 35.71°, I = 62
- 2θ = 40.08°, I = 31
- 2θ = 43.15°, I = 23
- 2θ = 57.21°, I = 15

***

Diffraction record for Rb3PmCl6. The PXRD pattern is theoretical, not measured: it uses a DFT-relaxed cell (PBE, Alexandria) and a wavelength of 1.5418 Å.
Neutral-atom scattering factors, no anomalous dispersion.

Structure:
```
data_Rb3PmCl6
_chemical_formula_sum 'Rb6 Pm2 Cl12'
_space_group_name_H-M_alt 'P 1'
_space_group_IT_number 1
_space_group_name_Hall 'P 1'
_cell_length_a 7.874
_cell_length_b 8.311
_cell_length_c 13.588
_cell_angle_alpha 90.00
_cell_angle_beta 124.31
_cell_angle_gamma 90.00
loop_
_atom_site_label
_atom_site_fract_x
_atom_site_fract_y
_atom_site_fract_z
Rb1 0.000 0.000 0.000
Rb2 0.000 0.500 0.500
Rb3 0.216 0.068 0.742
Rb4 0.216 0.432 0.242
Rb5 0.784 0.568 0.758
Rb6 0.784 0.932 0.258
Pm1 0.500 0.000 0.500
Pm2 0.500 0.500 0.000
Cl1 0.167 0.179 0.445
Cl2 0.167 0.321 0.945
Cl3 0.256 0.730 0.424
Cl4 0.256 0.770 0.924
Cl5 0.401 0.057 0.275
Cl6 0.401 0.443 0.775
Cl7 0.599 0.557 0.225
Cl8 0.599 0.943 0.725
Cl9 0.744 0.230 0.076
Cl10 0.744 0.270 0.576
Cl11 0.833 0.679 0.055
Cl12 0.833 0.821 0.555
```

Top 8 peaks for 15° ≤ 2θ ≤ 90°, by angle:
- 2θ = 21.38°, I = 39
- 2θ = 22.04°, I = 100
- 2θ = 22.36°, I = 97
- 2θ = 22.59°, I = 35
- 2θ = 31.30°, I = 65
- 2θ = 31.89°, I = 36
- 2θ = 38.72°, I = 33
- 2θ = 39.13°, I = 51

***

Diffraction record for Rb4Pm6Cl19. The PXRD pattern is theoretical, not measured: it uses a DFT-relaxed cell (PBE, Alexandria) and a wavelength of 1.5418 Å.
Neutral-atom scattering factors, no anomalous dispersion.

Structure:
```
data_Rb4Pm6Cl19
_chemical_formula_sum 'Rb4 Pm6 Cl19'
_space_group_name_H-M_alt 'P 1'
_space_group_IT_number 1
_space_group_name_Hall 'P 1'
_cell_length_a 10.976
_cell_length_b 10.976
_cell_length_c 10.976
_cell_angle_alpha 109.47
_cell_angle_beta 109.47
_cell_angle_gamma 109.47
loop_
_atom_site_label
_atom_site_fract_x
_atom_site_fract_y
_atom_site_fract_z
Rb1 0.000 0.000 0.292
Rb2 0.000 0.292 0.000
Rb3 0.292 0.000 0.000
Rb4 0.708 0.708 0.708
Pm1 0.143 0.500 0.643
Pm2 0.357 0.857 0.500
Pm3 0.500 0.357 0.857
Pm4 0.500 0.643 0.143
Pm5 0.643 0.143 0.500
Pm6 0.857 0.500 0.357
Cl1 0.000 0.000 0.000
Cl2 0.000 0.334 0.334
Cl3 0.000 0.666 0.666
Cl4 0.044 0.696 0.310
Cl5 0.266 0.651 0.956
Cl6 0.304 0.349 0.615
Cl7 0.310 0.044 0.696
Cl8 0.334 0.000 0.334
Cl9 0.334 0.334 0.000
Cl10 0.349 0.615 0.304
Cl11 0.385 0.734 0.690
Cl12 0.615 0.304 0.349
Cl13 0.651 0.956 0.266
Cl14 0.666 0.000 0.666
Cl15 0.666 0.666 0.000
Cl16 0.690 0.385 0.734
Cl17 0.696 0.310 0.044
Cl18 0.734 0.690 0.385
Cl19 0.956 0.266 0.651
```

Top 8 peaks for 15° ≤ 2θ ≤ 90°, by angle:
- 2θ = 17.14°, I = 23
- 2θ = 22.18°, I = 96
- 2θ = 26.31°, I = 64
- 2θ = 29.91°, I = 28
- 2θ = 34.68°, I = 19
- 2θ = 36.14°, I = 100
- 2θ = 42.81°, I = 58
- 2θ = 63.10°, I = 36

***

Diffraction record for Rb2PmSe2Cl2. The PXRD pattern is theoretical, not measured: it uses a DFT-relaxed cell (PBE, Alexandria) and a wavelength of 1.5418 Å.
Neutral-atom scattering factors, no anomalous dispersion.

Structure:
```
data_Rb2PmSe2Cl2
_chemical_formula_sum 'Rb2 Pm1 Se2 Cl2'
_space_group_name_H-M_alt 'P 1'
_space_group_IT_number 1
_space_group_name_Hall 'P 1'
_cell_length_a 9.389
_cell_length_b 9.389
_cell_length_c 9.389
_cell_angle_alpha 144.89
_cell_angle_beta 144.89
_cell_angle_gamma 50.49
loop_
_atom_site_label
_atom_site_fract_x
_atom_site_fract_y
_atom_site_fract_z
Rb1 0.145 0.145 0.000
Rb2 0.855 0.855 0.000
Pm1 0.500 0.500 0.000
Se1 0.000 0.500 0.500
Se2 0.500 0.000 0.500
Cl1 0.336 0.336 0.000
Cl2 0.664 0.664 0.000
```

Top 8 peaks for 15° ≤ 2θ ≤ 90°, by angle:
- 2θ = 22.20°, I = 92
- 2θ = 30.69°, I = 42
- 2θ = 31.60°, I = 100
- 2θ = 33.35°, I = 21
- 2θ = 38.96°, I = 38
- 2θ = 45.29°, I = 67
- 2θ = 56.28°, I = 21
- 2θ = 75.01°, I = 25

***

Diffraction record for Pm3RhSCl. The PXRD pattern is theoretical, not measured: it uses a DFT-relaxed cell (PBE, Alexandria) and a wavelength of 1.5418 Å.
Neutral-atom scattering factors, no anomalous dispersion.

Structure:
```
data_Pm3RhSCl
_chemical_formula_sum 'Pm6 Rh2 S2 Cl2'
_space_group_name_H-M_alt 'P 1'
_space_group_IT_number 1
_space_group_name_Hall 'P 1'
_cell_length_a 8.370
_cell_length_b 4.031
_cell_length_c 9.248
_cell_angle_alpha 90.00
_cell_angle_beta 103.05
_cell_angle_gamma 90.00
loop_
_atom_site_label
_atom_site_fract_x
_atom_site_fract_y
_atom_site_fract_z
Pm1 0.073 0.250 0.344
Pm2 0.221 0.250 0.998
Pm3 0.391 0.750 0.608
Pm4 0.609 0.250 0.392
Pm5 0.779 0.750 0.002
Pm6 0.927 0.750 0.656
Rh1 0.167 0.250 0.655
Rh2 0.833 0.750 0.345
S1 0.322 0.750 0.272
S2 0.678 0.250 0.728
Cl1 0.400 0.750 0.903
Cl2 0.600 0.250 0.097
```

Top 8 peaks for 15° ≤ 2θ ≤ 90°, by angle:
- 2θ = 24.64°, I = 20
- 2θ = 25.95°, I = 34
- 2θ = 29.75°, I = 46
- 2θ = 31.21°, I = 100
- 2θ = 36.96°, I = 28
- 2θ = 44.98°, I = 21
- 2θ = 47.19°, I = 26
- 2θ = 53.37°, I = 18